No. 1
For Ho4TlBiC, the PBE geometry in Alexandria gives the calculated PXRD pattern in this record (CuKα).
Lines closer than 0.1° are merged.

Structure:
Cell lengths 8.665, 8.665, 6.799 Å; angles 90.00, 90.00, 133.80 degrees
Element x y z (fractional)
1 Ho 0.000 0.500 0.000
2 Ho 0.000 0.500 0.500
3 Ho 0.090 0.910 0.750
4 Ho 0.404 0.596 0.750
5 Ho 0.500 0.000 0.000
6 Ho 0.500 0.000 0.500
7 Ho 0.596 0.404 0.250
8 Ho 0.910 0.090 0.250
9 Tl 0.111 0.889 0.250
10 Tl 0.889 0.111 0.750
11 Bi 0.394 0.606 0.250
12 Bi 0.606 0.394 0.750
13 C 0.250 0.750 0.750
14 C 0.750 0.250 0.250

Principal peaks in the range 2θ from 5° to 70°, by angle:
| Position (°2θ) | d (Å) | intensity |
| --- | --- | --- |
| 26.21 | 3.399 | 22 |
| 28.55 | 3.127 | 56 |
| 33.74 | 2.657 | 30 |
| 34.68 | 2.586 | 100 |
| 37.41 | 2.404 | 56 |
| 51.25 | 1.782 | 34 |
| 53.94 | 1.700 | 20 |
| 64.57 | 1.443 | 18 |
| 65.15 | 1.432 | 16 |
| 65.74 | 1.420 | 32 |

No. 2
For HfPa2MnC4, the PBE geometry in Alexandria gives the calculated PXRD pattern in this record (CuKα).
Lines closer than 0.1° are merged.

Structure:
Cell lengths 5.782, 5.782, 11.925 Å; angles 90.00, 90.00, 146.23 degrees
Element x y z (fractional)
1 Hf 0.117 0.883 0.750
2 Hf 0.883 0.117 0.250
3 Pa 0.360 0.640 0.548
4 Pa 0.360 0.640 0.952
5 Pa 0.640 0.360 0.048
6 Pa 0.640 0.360 0.452
7 Mn 0.146 0.854 0.250
8 Mn 0.854 0.146 0.750
9 C 0.000 0.000 0.000
10 C 0.000 0.000 0.500
11 C 0.277 0.723 0.143
12 C 0.277 0.723 0.357
13 C 0.443 0.557 0.750
14 C 0.557 0.443 0.250
15 C 0.723 0.277 0.643
16 C 0.723 0.277 0.857

Principal peaks in the range 2θ from 5° to 70°, by angle:
| Position (°2θ) | d (Å) | intensity |
| --- | --- | --- |
| 27.63 | 3.228 | 100 |
| 28.77 | 3.103 | 23 |
| 29.97 | 2.981 | 30 |
| 31.62 | 2.829 | 97 |
| 32.36 | 2.766 | 60 |
| 39.30 | 2.293 | 92 |
| 47.47 | 1.915 | 44 |
| 54.83 | 1.674 | 29 |
| 62.32 | 1.490 | 22 |
| 63.71 | 1.461 | 22 |

No. 3
For Tb2Sm3Hg7, the PBE geometry in Alexandria gives the calculated PXRD pattern in this record (CuKα).
Lines closer than 0.1° are merged.

Structure:
Cell lengths 11.833, 11.833, 5.541 Å; angles 90.00, 90.00, 154.62 degrees
Element x y z (fractional)
1 Tb 0.143 0.857 0.000
2 Tb 0.857 0.143 0.000
3 Sm 0.331 0.669 0.500
4 Sm 0.500 0.500 0.500
5 Sm 0.669 0.331 0.500
6 Hg 0.000 0.000 0.000
7 Hg 0.086 0.914 0.500
8 Hg 0.277 0.723 0.000
9 Hg 0.425 0.575 0.000
10 Hg 0.575 0.425 0.000
11 Hg 0.723 0.277 0.000
12 Hg 0.914 0.086 0.500

Principal peaks in the range 2θ from 5° to 70°, by angle:
| Position (°2θ) | d (Å) | intensity |
| --- | --- | --- |
| 16.00 | 5.541 | 11 |
| 25.80 | 3.453 | 11 |
| 30.51 | 2.930 | 28 |
| 32.32 | 2.770 | 45 |
| 34.50 | 2.600 | 38 |
| 36.09 | 2.488 | 100 |
| 47.99 | 1.896 | 30 |
| 60.11 | 1.539 | 23 |
| 62.85 | 1.479 | 20 |
| 69.62 | 1.350 | 11 |

No. 4
For MgBeSb, the PBE geometry in Alexandria gives the calculated PXRD pattern in this record (CuKα).
Lines closer than 0.1° are merged.

Structure:
Cell lengths 7.058, 4.110, 9.133 Å; angles 90.00, 105.47, 90.00 degrees
Element x y z (fractional)
1 Mg 0.000 0.000 0.000
2 Mg 0.154 0.000 0.458
3 Mg 0.500 0.500 0.000
4 Mg 0.654 0.500 0.458
5 Be 0.124 0.500 0.876
6 Be 0.216 0.500 0.149
7 Be 0.624 0.000 0.876
8 Be 0.716 0.000 0.149
9 Sb 0.255 0.000 0.775
10 Sb 0.420 0.000 0.260
11 Sb 0.755 0.500 0.775
12 Sb 0.920 0.500 0.260

Principal peaks in the range 2θ from 5° to 70°, by angle:
| Position (°2θ) | d (Å) | intensity |
| --- | --- | --- |
| 20.18 | 4.401 | 83 |
| 25.32 | 3.518 | 100 |
| 25.43 | 3.502 | 50 |
| 28.59 | 3.123 | 43 |
| 30.26 | 2.954 | 53 |
| 30.60 | 2.921 | 27 |
| 34.64 | 2.589 | 34 |
| 34.77 | 2.580 | 66 |
| 37.09 | 2.424 | 28 |
| 44.37 | 2.042 | 49 |

No. 5
For CaOs2PbO8, the PBE geometry in Alexandria gives the calculated PXRD pattern in this record (CuKα).
Lines closer than 0.1° are merged.

Structure:
Cell lengths 6.015, 6.015, 7.219 Å; angles 90.00, 90.00, 120.00 degrees
Element x y z (fractional)
1 Ca 0.000 0.000 0.000
2 Os 0.333 0.667 0.286
3 Os 0.667 0.333 0.714
4 Pb 0.000 0.000 0.500
5 O 0.165 0.330 0.221
6 O 0.165 0.835 0.221
7 O 0.330 0.165 0.779
8 O 0.333 0.667 0.533
9 O 0.667 0.333 0.467
10 O 0.670 0.835 0.221
11 O 0.835 0.165 0.779
12 O 0.835 0.670 0.779

Principal peaks in the range 2θ from 5° to 70°, by angle:
| Position (°2θ) | d (Å) | intensity |
| --- | --- | --- |
| 12.26 | 7.219 | 29 |
| 21.03 | 4.224 | 100 |
| 29.70 | 3.008 | 67 |
| 30.12 | 2.967 | 53 |
| 32.24 | 2.776 | 23 |
| 41.33 | 2.185 | 23 |
| 42.81 | 2.112 | 29 |
| 47.89 | 1.900 | 24 |
| 52.98 | 1.728 | 23 |
| 60.78 | 1.524 | 15 |

No. 6
For LiU3Ag3S8, the PBE geometry in Alexandria gives the calculated PXRD pattern in this record (CuKα).
Lines closer than 0.1° are merged.

Structure:
Cell lengths 7.566, 7.566, 7.566 Å; angles 63.25, 63.25, 63.25 degrees
Element x y z (fractional)
1 Li 0.000 0.000 0.000
2 U 0.000 0.500 0.500
3 U 0.500 0.000 0.500
4 U 0.500 0.500 0.000
5 Ag 0.000 0.000 0.500
6 Ag 0.000 0.500 0.000
7 Ag 0.500 0.000 0.000
8 S 0.247 0.247 0.739
9 S 0.247 0.739 0.247
10 S 0.251 0.251 0.251
11 S 0.261 0.753 0.753
12 S 0.739 0.247 0.247
13 S 0.749 0.749 0.749
14 S 0.753 0.261 0.753
15 S 0.753 0.753 0.261

Principal peaks in the range 2θ from 5° to 70°, by angle:
| Position (°2θ) | d (Å) | intensity |
| --- | --- | --- |
| 14.71 | 6.021 | 17 |
| 16.21 | 5.469 | 36 |
| 22.41 | 3.967 | 17 |
| 23.57 | 3.774 | 15 |
| 27.78 | 3.211 | 51 |
| 32.75 | 2.734 | 100 |
| 45.74 | 1.984 | 39 |
| 48.24 | 1.887 | 39 |
| 55.47 | 1.656 | 17 |
| 57.39 | 1.606 | 19 |

No. 7
For Tm2CdPt3, the PBE geometry in Alexandria gives the calculated PXRD pattern in this record (CuKα).
Lines closer than 0.1° are merged.

Structure:
Cell lengths 3.455, 3.455, 9.863 Å; angles 90.00, 90.00, 90.00 degrees
Element x y z (fractional)
1 Tm 0.000 0.000 0.177
2 Tm 0.000 0.000 0.823
3 Cd 0.000 0.000 0.500
4 Pt 0.500 0.500 0.000
5 Pt 0.500 0.500 0.337
6 Pt 0.500 0.500 0.663

Principal peaks in the range 2θ from 5° to 70°, by angle:
| Position (°2θ) | d (Å) | intensity |
| --- | --- | --- |
| 25.79 | 3.455 | 2 |
| 27.12 | 3.288 | 1 |
| 31.62 | 2.830 | 2 |
| 36.79 | 2.443 | 55 |
| 37.77 | 2.382 | 100 |
| 46.30 | 1.961 | 1 |
| 53.01 | 1.727 | 19 |
| 55.94 | 1.644 | 8 |
| 66.91 | 1.398 | 38 |
| 68.84 | 1.364 | 17 |

No. 8
For Cs12CdAu6, the PBE geometry in Alexandria gives the calculated PXRD pattern in this record (CuKα).
Lines closer than 0.1° are merged.

Structure:
Cell lengths 11.354, 11.354, 11.354 Å; angles 109.47, 109.47, 109.47 degrees
Element x y z (fractional)
1 Cs 0.138 0.317 0.821
2 Cs 0.179 0.496 0.317
3 Cs 0.179 0.862 0.683
4 Cs 0.317 0.179 0.496
5 Cs 0.317 0.821 0.138
6 Cs 0.496 0.317 0.179
7 Cs 0.504 0.683 0.821
8 Cs 0.683 0.179 0.862
9 Cs 0.683 0.821 0.504
10 Cs 0.821 0.138 0.317
11 Cs 0.821 0.504 0.683
12 Cs 0.862 0.683 0.179
13 Cd 0.000 0.000 0.000
14 Au 0.111 0.500 0.611
15 Au 0.389 0.889 0.500
16 Au 0.500 0.389 0.889
17 Au 0.500 0.611 0.111
18 Au 0.611 0.111 0.500
19 Au 0.889 0.500 0.389

Principal peaks in the range 2θ from 5° to 70°, by angle:
| Position (°2θ) | d (Å) | intensity |
| --- | --- | --- |
| 9.54 | 9.271 | 27 |
| 13.51 | 6.555 | 34 |
| 23.51 | 3.785 | 19 |
| 25.42 | 3.504 | 100 |
| 28.89 | 3.090 | 17 |
| 34.89 | 2.571 | 59 |
| 40.10 | 2.248 | 19 |
| 41.32 | 2.185 | 18 |
| 49.14 | 1.854 | 16 |
| 60.77 | 1.524 | 19 |

No. 9
For CaSmHo2, the PBE geometry in Alexandria gives the calculated PXRD pattern in this record (CuKα).
Lines closer than 0.1° are merged.

Structure:
Cell lengths 24.007, 3.500, 6.450 Å; angles 90.00, 94.11, 90.00 degrees
Element x y z (fractional)
1 Ca 0.001 0.000 0.249
2 Ca 0.499 0.500 0.751
3 Ca 0.501 0.500 0.249
4 Ca 0.999 0.000 0.751
5 Sm 0.248 0.000 0.249
6 Sm 0.252 0.500 0.751
7 Sm 0.748 0.500 0.249
8 Sm 0.752 0.000 0.751
9 Ho 0.126 0.500 0.037
10 Ho 0.135 0.000 0.545
11 Ho 0.365 0.500 0.455
12 Ho 0.374 0.000 0.963
13 Ho 0.626 0.000 0.037
14 Ho 0.635 0.500 0.545
15 Ho 0.865 0.000 0.455
16 Ho 0.874 0.500 0.963

Principal peaks in the range 2θ from 5° to 70°, by angle:
| Position (°2θ) | d (Å) | intensity |
| --- | --- | --- |
| 7.38 | 11.973 | 100 |
| 29.42 | 3.036 | 53 |
| 29.85 | 2.993 | 68 |
| 30.59 | 2.922 | 63 |
| 31.54 | 2.837 | 94 |
| 32.53 | 2.753 | 44 |
| 34.11 | 2.628 | 62 |
| 38.70 | 2.327 | 38 |
| 49.78 | 1.832 | 30 |
| 52.23 | 1.751 | 30 |

No. 10
For BaTaN3, the PBE geometry in Alexandria gives the calculated PXRD pattern in this record (CuKα).
Lines closer than 0.1° are merged.

Structure:
Cell lengths 7.162, 7.162, 6.749 Å; angles 107.09, 107.09, 33.23 degrees
Element x y z (fractional)
1 Ba 0.117 0.117 0.339
2 Ba 0.883 0.883 0.661
3 Ta 0.328 0.328 0.121
4 Ta 0.672 0.672 0.879
5 N 0.176 0.176 0.965
6 N 0.337 0.337 0.402
7 N 0.465 0.465 0.037
8 N 0.535 0.535 0.963
9 N 0.663 0.663 0.598
10 N 0.824 0.824 0.035

Principal peaks in the range 2θ from 5° to 70°, by angle:
| Position (°2θ) | d (Å) | intensity |
| --- | --- | --- |
| 13.56 | 6.532 | 23 |
| 26.55 | 3.357 | 19 |
| 26.92 | 3.312 | 43 |
| 27.31 | 3.266 | 23 |
| 27.79 | 3.210 | 100 |
| 30.26 | 2.953 | 40 |
| 34.70 | 2.585 | 19 |
| 40.97 | 2.203 | 20 |
| 46.46 | 1.955 | 25 |
| 53.52 | 1.712 | 19 |

No. 11
For NiPd2Au6, the PBE geometry in Alexandria gives the calculated PXRD pattern in this record (CuKα).
Lines closer than 0.1° are merged.

Structure:
Cell lengths 8.107, 8.107, 2.818 Å; angles 90.14, 90.14, 56.86 degrees
Element x y z (fractional)
1 Ni 0.000 0.000 0.000
2 Pd 0.318 0.318 0.501
3 Pd 0.682 0.682 0.499
4 Au 0.018 0.661 0.000
5 Au 0.315 0.685 0.500
6 Au 0.339 0.982 0.000
7 Au 0.661 0.018 0.000
8 Au 0.685 0.315 0.500
9 Au 0.982 0.339 0.000

Principal peaks in the range 2θ from 5° to 70°, by angle:
| Position (°2θ) | d (Å) | intensity |
| --- | --- | --- |
| 23.04 | 3.860 | 23 |
| 34.22 | 2.620 | 22 |
| 34.46 | 2.602 | 37 |
| 37.86 | 2.376 | 57 |
| 39.84 | 2.263 | 100 |
| 40.76 | 2.213 | 15 |
| 40.88 | 2.207 | 15 |
| 41.66 | 2.168 | 42 |
| 48.32 | 1.883 | 23 |
| 69.73 | 1.349 | 30 |

No. 12
For Pm2Be3Pt4Au, the PBE geometry in Alexandria gives the calculated PXRD pattern in this record (CuKα).
Lines closer than 0.1° are merged.

Structure:
Cell lengths 4.040, 4.040, 10.524 Å; angles 90.00, 90.00, 90.00 degrees
Element x y z (fractional)
1 Pm 0.000 0.500 0.240
2 Pm 0.500 0.000 0.760
3 Be 0.000 0.500 0.890
4 Be 0.500 0.000 0.110
5 Be 0.500 0.500 0.500
6 Pt 0.000 0.000 0.000
7 Pt 0.000 0.500 0.671
8 Pt 0.500 0.000 0.329
9 Pt 0.500 0.500 0.000
10 Au 0.000 0.000 0.500

Principal peaks in the range 2θ from 5° to 70°, by angle:
| Position (°2θ) | d (Å) | intensity |
| --- | --- | --- |
| 25.39 | 3.508 | 13 |
| 27.84 | 3.204 | 25 |
| 32.48 | 2.757 | 12 |
| 34.08 | 2.631 | 12 |
| 35.76 | 2.511 | 100 |
| 40.94 | 2.205 | 13 |
| 44.87 | 2.020 | 37 |
| 48.79 | 1.867 | 13 |
| 57.52 | 1.602 | 11 |
| 65.33 | 1.428 | 12 |